Entry 1:
This entry pairs a crystal structure of Sm12SbRh6 with its simulated powder X-ray diffraction pattern. Radiation: a wavelength of 1.5418 Å. Structure: a cell relaxed with PBE.
Kinematic intensities with the Lorentz-polarization factor, no thermal factor.

Main lines, by intensity (10 to 90 degrees two-theta):
| 2θ/deg | Rel. int. | (hkl) |
| --- | --- | --- |
| 33.2 | 100 | 3 1 2 |
| 56.1 | 29 | 5 2 3 |
| 30.6 | 26 | 2 2 2 |
| 45.8 | 24 | 5 0 1 |
| 52.8 | 21 | 5 3 0 |
| 27.9 | 17 | 3 0 1 |
| 82.0 | 16 | 7 0 5 |
| 65.3 | 16 | 5 3 4 |

Cell and atoms:
Cell lengths 10.107, 10.107, 10.107 Å; angles 90.00, 90.00, 90.00 degrees
Space group Im-3 (No. 204)
Unique sites:
Sm (0.000, 0.305, 0.188)
Sb (0.000, 0.000, 0.000)
Rh (0.000, 0.131, 0.500)



Entry 2:
This entry pairs a crystal structure of Sm4SbRh2 with its simulated powder X-ray diffraction pattern. Radiation: a wavelength of 1.5418 Å. Structure: a cell relaxed with PBE.
Kinematic intensities with the Lorentz-polarization factor, no thermal factor.

Main lines, by intensity (10 to 90 degrees two-theta):
| 2θ/deg | Rel. int. | (hkl) |
| --- | --- | --- |
| 31.2 | 100 | 3 3 1 |
| 31.8 | 91 | 1 1 3 |
| 34.3 | 66 | 1 5 1 |
| 32.7 | 53 | 4 2 0 |
| 53.1 | 33 | 5 3 3 |
| 29.5 | 32 | 2 4 0 |
| 38.6 | 28 | 4 2 2 |
| 28.1 | 24 | 2 2 2 |

Cell and atoms:
Cell lengths 11.895, 14.044, 8.872 Å; angles 90.00, 90.00, 90.00 degrees
Space group Fdd2 (No. 43)
Unique sites:
Sm (0.060, 0.109, 0.000)
Sm (0.114, 0.200, 0.594)
Sb (0.000, 0.000, 0.662)
Rh (0.061, 0.180, 0.289)